Entry 1:
Diffraction record for PRh2. The XRD peak list is computed, not measured: it uses a structure optimized by DFT (PBE) and a wavelength of 1.5418 Å.
Neutral-atom scattering factors, no anomalous dispersion.

Cell and atoms:
```
3
Lattice="0.0000 2.7818 2.7818 2.7818 0.0000 2.7818 2.7818 2.7818 0.0000" Properties=species:S:1:pos:R:3 pbc="T T T"
P 0.0000 0.0000 0.0000
Rh 1.3909 1.3909 1.3909
Rh 4.1727 4.1727 4.1727
```

Peak list (9 most intense, 2θ from 10° to 90°, in order of rising 2θ)
2θ (°)	Rel. int.
27.8	5
32.2	78
46.1	100
54.7	2
57.4	20
67.3	16
74.3	1
76.6	25
85.5	33

Entry 2:
Diffraction record for P3Rh4. The XRD peak list is computed, not measured: it uses a structure optimized by DFT (PBE) and a wavelength of 1.5418 Å.
Neutral-atom scattering factors, no anomalous dispersion.

Cell and atoms:
```
28
Lattice="11.7958 0.0000 0.0000 0.0000 3.3462 0.0000 0.0000 0.0000 10.1200" Properties=species:S:1:pos:R:3 pbc="T T T"
P 1.4631 0.8365 2.4258
P 1.5050 2.5096 5.8678
P 1.5421 0.8365 9.3191
P 4.3558 2.5096 4.2590
P 4.3929 0.8365 0.8078
P 4.4348 2.5096 7.4859
P 7.3610 0.8365 2.6342
P 7.4029 2.5096 9.3123
P 7.4400 0.8365 5.8610
P 10.2537 2.5096 0.8010
P 10.2908 0.8365 4.2523
P 10.3327 2.5096 7.6942
Rh 0.3165 2.5096 3.8658
Rh 0.7613 2.5096 0.9490
Rh 2.4174 0.8365 7.1729
Rh 2.6994 0.8365 4.3507
Rh 3.1985 2.5096 9.4107
Rh 3.4805 2.5096 2.1129
Rh 5.1366 0.8365 6.0090
Rh 5.5814 0.8365 8.9259
Rh 6.2144 2.5096 1.1942
Rh 6.6592 2.5096 4.1110
Rh 8.3153 0.8365 8.0071
Rh 8.5973 0.8365 0.7094
Rh 9.0964 2.5096 5.7694
Rh 9.3784 2.5096 2.9471
Rh 11.0345 0.8365 9.1710
Rh 11.4793 0.8365 6.2542
```

Peak list (12 most intense, 2θ from 10° to 90°, in order of rising 2θ)
2θ (°)	Rel. int.
28.1	35
29.1	27
31.6	33
36.3	34
38.7	20
39.2	18
40.8	54
41.0	100
42.5	21
54.0	31
54.9	29
80.6	22

Entry 3:
Diffraction record for P3Rh. The XRD peak list is computed, not measured: it uses a structure optimized by DFT (PBE) and a wavelength of 1.5418 Å.
Neutral-atom scattering factors, no anomalous dispersion.

Cell and atoms:
```
16
Lattice="-4.0308 4.0308 4.0308 4.0308 -4.0308 4.0308 4.0308 4.0308 -4.0308" Properties=species:S:1:pos:R:3 pbc="T T T"
P 2.8687 0.0000 1.1264
P 5.1929 0.0000 1.1264
P 4.0308 2.9044 -1.1621
P 1.1264 2.8687 0.0000
P 2.9044 -1.1621 4.0308
P 0.0000 1.1264 2.8687
P 4.0308 2.9044 1.1621
P 1.1264 5.1929 0.0000
P 2.9044 1.1621 4.0308
P 0.0000 1.1264 5.1929
P -1.1621 4.0308 2.9044
P 1.1621 4.0308 2.9044
Rh 2.0154 2.0154 -2.0154
Rh 2.0154 -2.0154 2.0154
Rh -2.0154 2.0154 2.0154
Rh 2.0154 2.0154 2.0154
```

Peak list (12 most intense, 2θ from 10° to 90°, in order of rising 2θ)
2θ (°)	Rel. int.
22.1	100
31.4	94
35.2	38
38.7	41
45.0	13
50.6	97
55.9	57
58.4	16
74.4	22
78.7	18
83.0	14
87.2	20

Entry 4:
Diffraction record for ScP4Rh6. The XRD peak list is computed, not measured: it uses a structure optimized by DFT (PBE) and a wavelength of 1.5418 Å.
Neutral-atom scattering factors, no anomalous dispersion.

Cell and atoms:
```
11
Lattice="7.0090 0.0000 0.0000 -3.5045 6.0700 0.0000 0.0000 0.0000 3.6764" Properties=species:S:1:pos:R:3 pbc="T T T"
Sc 0.0000 0.0000 0.0000
P -1.5565 4.9083 1.8382
P 0.0320 2.2678 1.8382
P 1.5245 4.9638 1.8382
P 3.5045 2.0233 0.0000
Rh -1.4594 3.3228 0.0000
Rh 2.0589 1.1201 1.8382
Rh 1.3565 3.1447 0.0000
Rh 0.1028 5.6724 0.0000
Rh 3.4451 3.7268 1.8382
Rh 5.0095 1.2230 1.8382
```

Peak list (12 most intense, 2θ from 10° to 90°, in order of rising 2θ)
2θ (°)	Rel. int.
14.6	17
28.4	25
29.4	12
38.5	100
39.3	20
44.8	22
46.7	38
49.6	19
52.2	22
72.6	15
74.9	14
83.9	12